# 1
Starting from a structure optimized by DFT (GGA-PBE), the powder X-ray diffraction pattern of Ba3Ac2In2 was computed for Cu Kα X-rays.
Neutral-atom scattering factors, no anomalous dispersion.

The 10 most intense peaks (2θ from 10° to 80°), most intense first:
Position (°2θ)  intensity
26.9  100
26.5  69
28.0  66
27.3  57
28.6  48
33.9  45
34.0  30
42.9  29
24.9  28
29.2  27

Cell and atoms:
```
7
Lattice="4.214 0.000 0.000 2.105 8.059 0.000 2.084 3.662 9.429" Properties=species:S:1:pos:R:3 pbc="T T T"
Ba 0.000 0.000 0.000
Ba 2.088 3.759 5.291
Ba 6.316 7.961 4.138
Ac 4.191 6.975 7.927
Ac 4.212 4.746 1.502
In 2.106 2.090 2.035
In 6.297 9.630 7.394
```

***

# 2
Starting from a structure optimized by DFT (GGA-PBE), the powder X-ray diffraction pattern of BaAcInO4 was computed for Cu Kα X-rays.
Neutral-atom scattering factors, no anomalous dispersion.

The 10 most intense peaks (2θ from 10° to 80°), most intense first:
Position (°2θ)  intensity
29.2  100
29.7  34
30.0  33
42.7  32
52.8  26
52.4  20
40.7  18
40.0  15
51.2  12
70.0  12

Cell and atoms:
```
14
Lattice="2.979 -6.648 0.000 2.979 6.648 0.000 0.000 0.000 6.010" Properties=species:S:1:pos:R:3 pbc="T T T"
Ba 2.979 5.275 4.508
Ba 2.979 -5.275 1.503
Ac 2.979 1.490 4.508
Ac 2.979 -1.490 1.503
In 2.979 3.329 1.503
In 2.979 -3.329 4.508
O 1.489 3.324 0.000
O 1.489 3.324 3.005
O 2.979 5.508 1.503
O 2.979 0.936 1.503
O 1.489 -3.324 0.000
O 1.489 -3.324 3.005
O 2.979 -0.936 4.508
O 2.979 -5.508 4.508
```

***

# 3
Starting from a structure optimized by DFT (GGA-PBE), the powder X-ray diffraction pattern of BaAc2PrIn4 was computed for Cu Kα X-rays.
Neutral-atom scattering factors, no anomalous dispersion.

The 10 most intense peaks (2θ from 10° to 80°), most intense first:
Position (°2θ)  intensity
30.9  100
54.9  28
44.3  18
73.1  16
55.0  10
64.4  6
64.3  6
21.7  5
18.8  4
49.8  3

Cell and atoms:
```
8
Lattice="2.892 1.670 9.468 -2.892 1.670 9.468 0.000 -3.339 9.468" Properties=species:S:1:pos:R:3 pbc="T T T"
Ba 0.000 0.000 0.000
Ac 0.000 0.000 7.152
Ac 0.000 0.000 21.251
Pr 0.000 0.000 14.202
In 0.000 0.000 3.653
In 0.000 0.000 10.807
In 0.000 0.000 17.596
In 0.000 0.000 24.751
```

***

# 4
Starting from a structure optimized by DFT (GGA-PBE), the powder X-ray diffraction pattern of BaAc4Ir3 was computed for Cu Kα X-rays.
Neutral-atom scattering factors, no anomalous dispersion.

The 10 most intense peaks (2θ from 10° to 80°), most intense first:
Position (°2θ)  intensity
34.5  100
41.2  68
26.7  66
26.5  65
27.3  65
35.4  52
12.8  47
42.4  31
51.6  16
49.4  15

Cell and atoms:
```
16
Lattice="7.458 -3.824 0.000 7.458 3.824 0.000 -4.102 0.000 10.133" Properties=species:S:1:pos:R:3 pbc="T T T"
Ba 5.407 2.518 5.067
Ba 7.458 -2.518 0.000
Ac 1.317 1.349 4.061
Ac 2.536 1.305 8.138
Ac -0.734 -1.349 9.127
Ac 8.283 1.274 1.964
Ac 4.587 -1.305 3.071
Ac 9.198 1.236 6.070
Ac 6.232 -1.274 7.031
Ac 11.249 -1.236 1.004
Ir 0.396 0.013 6.656
Ir 2.446 -0.013 1.589
Ir 4.964 0.122 9.416
Ir 7.015 -0.122 4.350
Ir 10.434 0.058 3.593
Ir 8.383 -0.058 8.659
```